Entry 1:
Structure and calculated XRD peak list of YNbO4 (a GGA-PBE-relaxed structure; Cu Kα, 1.54184 Å).

Cell and atoms:
```
data_YNbO4
_chemical_formula_sum 'Y4 Nb4 O16'
_symmetry_space_group_name_H-M 'C 1 2/c 1'
_symmetry_Int_Tables_number 15
_symmetry_space_group_name_Hall '-C 2yc'
_cell_length_a 7.181
_cell_length_b 11.148
_cell_length_c 5.160
_cell_angle_alpha 90.00
_cell_angle_beta 131.97
_cell_angle_gamma 90.00
loop_
_atom_site_label
_atom_site_type_symbol
_atom_site_fract_x
_atom_site_fract_y
_atom_site_fract_z
Y1 Y 0.000 0.128 0.250
Nb1 Nb 0.000 0.391 0.750
O1 O 0.160 0.290 0.660
O2 O 0.250 0.033 0.799
```

The 10 most intense peaks (10 to 90 degrees two-theta), in order of rising 2θ:
2θ (°)  intensity
28.2  100
29.6  89
32.1  19
33.6  17
47.1  31
47.4  17
48.1  29
50.9  14
56.0  16
58.4  19


Entry 2:
Structure and calculated XRD peak list of Y3NbO7 (a GGA-PBE-relaxed structure; Cu Kα, 1.54184 Å).

Cell and atoms:
```
data_Y3NbO7
_chemical_formula_sum 'Y12 Nb4 O28'
_symmetry_space_group_name_H-M 'C m m e'
_symmetry_Int_Tables_number 67
_symmetry_space_group_name_Hall '-C 2a 2'
_cell_length_a 7.491
_cell_length_b 14.547
_cell_length_c 5.380
_cell_angle_alpha 90.00
_cell_angle_beta 90.00
_cell_angle_gamma 90.00
loop_
_atom_site_label
_atom_site_type_symbol
_atom_site_fract_x
_atom_site_fract_y
_atom_site_fract_z
Y1 Y 0.000 0.120 0.029
Y2 Y 0.250 0.250 0.500
Nb1 Nb 0.250 0.000 0.500
O1 O 0.000 0.012 0.287
O2 O 0.000 0.250 0.257
O3 O 0.218 0.120 0.737
```

The 10 most intense peaks (10 to 90 degrees two-theta), in order of rising 2θ:
2θ (°)  intensity
29.0  100
29.7  97
33.3  16
34.4  32
48.6  90
50.2  17
56.9  13
57.3  13
58.0  28
59.0  25


Entry 3:
Structure and calculated XRD peak list of Nb2Zn4O9 (a GGA-PBE-relaxed structure; Cu Kα, 1.54184 Å).

Cell and atoms:
```
data_Nb2Zn4O9
_chemical_formula_sum 'Nb4 Zn8 O18'
_symmetry_space_group_name_H-M 'P -3 c 1'
_symmetry_Int_Tables_number 165
_symmetry_space_group_name_Hall '-P 3 2"c'
_cell_length_a 5.2604
_cell_length_b 5.2604
_cell_length_c 14.3824
_cell_angle_alpha 90.00
_cell_angle_beta 90.00
_cell_angle_gamma 120.00
loop_
_atom_site_label
_atom_site_type_symbol
_atom_site_fract_x
_atom_site_fract_y
_atom_site_fract_z
Nb1 Nb 0.0000 0.0000 0.1391
Zn1 Zn 0.3333 0.6667 0.0142
Zn2 Zn 0.3333 0.6667 0.2946
O1 O 0.0000 0.2859 0.2500
O2 O 0.0197 0.3396 0.9165
```

The 10 most intense peaks (10 to 90 degrees two-theta), in order of rising 2θ:
2θ (°)  intensity
23.1  12
31.7  100
34.1  71
39.1  9
47.2  37
51.6  23
54.9  13
59.5  35
61.0  26
80.6  12


Entry 4:
Structure and calculated XRD peak list of ZrNbO4 (a GGA-PBE-relaxed structure; Cu Kα, 1.54184 Å).

Cell and atoms:
```
data_ZrNbO4
_chemical_formula_sum 'Zr4 Nb4 O16'
_symmetry_space_group_name_H-M 'C 1 2/c 1'
_symmetry_Int_Tables_number 15
_symmetry_space_group_name_Hall '-C 2yc'
_cell_length_a 6.958
_cell_length_b 10.649
_cell_length_c 5.145
_cell_angle_alpha 90.00
_cell_angle_beta 132.46
_cell_angle_gamma 90.00
loop_
_atom_site_label
_atom_site_type_symbol
_atom_site_fract_x
_atom_site_fract_y
_atom_site_fract_z
Zr1 Zr 0.000 0.132 0.250
Nb1 Nb 0.000 0.397 0.750
O1 O 0.170 0.286 0.645
O2 O 0.240 0.030 0.759
```

The 10 most intense peaks (10 to 90 degrees two-theta), in order of rising 2θ:
2θ (°)  intensity
28.9  100
30.7  90
33.7  16
35.0  30
47.9  18
49.3  56
52.6  15
57.3  10
58.0  29
61.1  22